Record 1
# NaZnH2C3O7
Simulated X-ray diffraction stick pattern, Cu Kα. Input: DFT lattice parameters and positions (GGA-PBE).
Neutral-atom scattering factors, no anomalous dispersion.

Peak list (10 most intense, 2θ = 10–80°, in order of rising 2θ)
2θ/deg	I/Imax
16.09	27
16.82	100
18.53	78
22.83	72
24.88	90
31.14	22
32.73	34
38.16	17
39.50	18
43.45	20

a = 5.9948 Å, b = 15.5857 Å, c = 7.2858 Å
α = 90.00°, β = 100.78°, γ = 90.00°
Element x y z (fractional)
Na 0.0260 0.1818 0.1924
Na 0.0260 0.3182 0.6924
Na 0.9740 0.6818 0.3076
Na 0.9740 0.8182 0.8076
Zn 0.2281 0.1003 0.7849
Zn 0.2281 0.3997 0.2849
Zn 0.7719 0.6003 0.7151
Zn 0.7719 0.8997 0.2151
H 0.3256 0.0258 0.1248
H 0.3256 0.4742 0.6248
H 0.4450 0.1199 0.1349
H 0.4450 0.3801 0.6349
H 0.5550 0.6199 0.3651
H 0.5550 0.8801 0.8651
H 0.6744 0.5258 0.3752
H 0.6744 0.9742 0.8752
C 0.0045 0.5367 0.0720
C 0.0045 0.9633 0.5720
C 0.2986 0.6513 0.7137
C 0.2986 0.8487 0.2137
C 0.4519 0.7326 0.7552
C 0.4519 0.7674 0.2552
C 0.5481 0.2326 0.7448
C 0.5481 0.2674 0.2448
C 0.7014 0.1513 0.7863
C 0.7014 0.3487 0.2863
C 0.9955 0.0367 0.4280
C 0.9955 0.4633 0.9280
O 0.0862 0.6642 0.6782
O 0.0862 0.8358 0.1782
O 0.0964 0.1057 0.4843
O 0.0964 0.3943 0.9843
O 0.1115 0.5234 0.2370
O 0.1115 0.9766 0.7370
O 0.3065 0.0857 0.0782
O 0.3065 0.4143 0.5782
O 0.3401 0.2237 0.7578
O 0.3401 0.2763 0.2578
O 0.3636 0.6988 0.2983
O 0.3636 0.8012 0.7983
O 0.4017 0.5799 0.7177
O 0.4017 0.9201 0.2177
O 0.5983 0.0799 0.7823
O 0.5983 0.4201 0.2823
O 0.6364 0.1988 0.2017
O 0.6364 0.3012 0.7017
O 0.6599 0.7237 0.7422
O 0.6599 0.7763 0.2422
O 0.6935 0.5857 0.4218
O 0.6935 0.9143 0.9218
O 0.8885 0.0234 0.2630
O 0.8885 0.4766 0.7630
O 0.9036 0.6057 0.0157
O 0.9036 0.8943 0.5157
O 0.9138 0.1642 0.8218
O 0.9138 0.3358 0.3218

***

Record 2
# PrZn5
Simulated X-ray diffraction stick pattern, Cu Kα. Input: DFT lattice parameters and positions (GGA-PBE).
Neutral-atom scattering factors, no anomalous dispersion.

Peak list (10 most intense, 2θ = 10–80°, in order of rising 2θ)
2θ/deg	I/Imax
28.24	39
33.06	29
38.36	34
39.37	100
42.28	27
54.69	14
58.40	20
63.30	24
69.36	17
75.33	19

a = 5.4194 Å, b = 5.4194 Å, c = 4.2755 Å
α = 90.00°, β = 90.00°, γ = 120.00°
Element x y z (fractional)
Pr 0.0000 0.0000 0.0000
Zn 0.0000 0.5000 0.5000
Zn 0.3333 0.6667 0.0000
Zn 0.5000 0.0000 0.5000
Zn 0.5000 0.5000 0.5000
Zn 0.6667 0.3333 0.0000

***

Record 3
# GdLuRh2
Simulated X-ray diffraction stick pattern, Cu Kα. Input: DFT lattice parameters and positions (GGA-PBE).
Neutral-atom scattering factors, no anomalous dispersion.

Peak list (7 most intense, 2θ = 10–80°, in order of rising 2θ)
2θ/deg	I/Imax
26.05	6
37.18	100
45.96	2
53.59	17
60.53	2
67.03	35
79.22	11

a = 4.8367 Å, b = 4.8367 Å, c = 4.8367 Å
α = 60.00°, β = 60.00°, γ = 60.00°
Element x y z (fractional)
Gd 0.0000 0.0000 0.0000
Lu 0.5000 0.5000 0.5000
Rh 0.2500 0.2500 0.2500
Rh 0.7500 0.7500 0.7500

***

Record 4
# Li2Fe2S3
Simulated X-ray diffraction stick pattern, Cu Kα. Input: DFT lattice parameters and positions (GGA-PBE).
Neutral-atom scattering factors, no anomalous dispersion.

Peak list (10 most intense, 2θ = 10–80°, in order of rising 2θ)
2θ/deg	I/Imax
14.12	100
21.33	39
22.52	23
26.14	68
27.38	35
29.90	22
39.14	33
45.33	28
47.64	59
51.40	27

a = 9.2485 Å, b = 9.2485 Å, c = 6.5158 Å
α = 110.19°, β = 110.19°, γ = 80.92°
Element x y z (fractional)
Li 0.0768 0.9232 0.7500
Li 0.2226 0.7774 0.2500
Li 0.3237 0.4909 0.9551
Li 0.4909 0.3237 0.4551
Li 0.5091 0.6763 0.5449
Li 0.6763 0.5091 0.0449
Li 0.7774 0.2226 0.7500
Li 0.9232 0.0768 0.2500
Fe 0.0590 0.5629 0.3988
Fe 0.1287 0.2866 0.1247
Fe 0.2866 0.1287 0.6247
Fe 0.4371 0.9410 0.1012
Fe 0.5629 0.0590 0.8988
Fe 0.7134 0.8713 0.3753
Fe 0.8713 0.7134 0.8753
Fe 0.9410 0.4371 0.6012
S 0.0582 0.2186 0.7180
S 0.1058 0.6480 0.7975
S 0.2186 0.0582 0.2180
S 0.2855 0.4930 0.3111
S 0.3520 0.8942 0.7025
S 0.4930 0.2855 0.8111
S 0.5070 0.7145 0.1889
S 0.6480 0.1058 0.2975
S 0.7145 0.5070 0.6889
S 0.7814 0.9418 0.7820
S 0.8942 0.3520 0.2025
S 0.9418 0.7814 0.2820

***

Record 5
# KHg5Cl11
Simulated X-ray diffraction stick pattern, Cu Kα. Input: DFT lattice parameters and positions (GGA-PBE).
Neutral-atom scattering factors, no anomalous dispersion.

Peak list (10 most intense, 2θ = 10–80°, in order of rising 2θ)
2θ/deg	I/Imax
14.61	100
19.76	45
20.34	32
22.43	38
27.45	39
28.37	56
28.86	51
29.22	30
33.11	46
47.13	31

a = 9.6554 Å, b = 9.6554 Å, c = 6.6551 Å
α = 108.20°, β = 108.20°, γ = 100.27°
Element x y z (fractional)
K 0.0000 0.0000 0.0000
Hg 0.0156 0.3529 0.6868
Hg 0.3529 0.0156 0.6868
Hg 0.5000 0.5000 0.0000
Hg 0.6471 0.9844 0.3132
Hg 0.9844 0.6471 0.3132
Cl 0.0000 0.0000 0.5000
Cl 0.1397 0.7024 0.6953
Cl 0.1681 0.4174 0.0710
Cl 0.2976 0.8603 0.3047
Cl 0.3507 0.3507 0.6100
Cl 0.4174 0.1681 0.0710
Cl 0.5826 0.8319 0.9290
Cl 0.6493 0.6493 0.3900
Cl 0.7024 0.1397 0.6953
Cl 0.8319 0.5826 0.9290
Cl 0.8603 0.2976 0.3047

***

Record 6
# BaVSeS2
Simulated X-ray diffraction stick pattern, Cu Kα. Input: DFT lattice parameters and positions (GGA-PBE).
Neutral-atom scattering factors, no anomalous dispersion.

Peak list (10 most intense, 2θ = 10–80°, in order of rising 2θ)
2θ/deg	I/Imax
21.46	39
25.73	37
31.54	26
33.55	100
33.94	46
34.96	19
43.73	27
44.04	15
52.89	23
57.45	23

a = 5.6737 Å, b = 6.9256 Å, c = 6.9256 Å
α = 60.98°, β = 90.00°, γ = 90.00°
Element x y z (fractional)
Ba 0.0000 0.0000 0.0000
Ba 0.5000 0.3374 0.3374
V 0.2231 0.6753 0.6753
V 0.7769 0.6753 0.6753
Se 0.5000 0.3313 0.8340
Se 0.5000 0.8340 0.3313
S 0.0000 0.0001 0.5107
S 0.0000 0.5107 0.0001
S 0.0000 0.5108 0.5108
S 0.5000 0.8251 0.8251

***

Record 7
# Fe2CoN2
Simulated X-ray diffraction stick pattern, Cu Kα. Input: DFT lattice parameters and positions (GGA-PBE).
Neutral-atom scattering factors, no anomalous dispersion.

Peak list (10 most intense, 2θ = 10–80°, in order of rising 2θ)
2θ/deg	I/Imax
38.21	100
38.54	51
45.43	34
45.87	94
48.47	41
61.32	19
63.92	33
73.81	18
74.80	13
79.53	12

a = 2.9172 Å, b = 2.9172 Å, c = 5.9950 Å
α = 92.04°, β = 92.04°, γ = 62.43°
Element x y z (fractional)
Fe 0.1624 0.1624 0.3291
Fe 0.8376 0.8376 0.6709
Co 0.5000 0.5000 0.0000
N 0.1849 0.1849 0.7810
N 0.8151 0.8151 0.2190

***

Record 8
# Cs2TlPdF6
Simulated X-ray diffraction stick pattern, Cu Kα. Input: DFT lattice parameters and positions (GGA-PBE).
Neutral-atom scattering factors, no anomalous dispersion.

Peak list (10 most intense, 2θ = 10–80°, in order of rising 2θ)
2θ/deg	I/Imax
16.40	3
18.96	3
26.93	100
31.70	4
38.46	31
47.58	42
55.52	20
62.76	20
69.56	7
76.07	23

a = 6.6207 Å, b = 6.6207 Å, c = 6.6207 Å
α = 60.00°, β = 60.00°, γ = 60.00°
Element x y z (fractional)
Cs 0.2500 0.2500 0.2500
Cs 0.7500 0.7500 0.7500
Tl 0.0000 0.0000 0.0000
Pd 0.5000 0.5000 0.5000
F 0.2758 0.2758 0.7242
F 0.2758 0.7242 0.2758
F 0.2758 0.7242 0.7242
F 0.7242 0.2758 0.2758
F 0.7242 0.2758 0.7242
F 0.7242 0.7242 0.2758

***

Record 9
# Nd3Sb5O12
Simulated X-ray diffraction stick pattern, Cu Kα. Input: DFT lattice parameters and positions (GGA-PBE).
Neutral-atom scattering factors, no anomalous dispersion.

Peak list (10 most intense, 2θ = 10–80°, in order of rising 2θ)
2θ/deg	I/Imax
11.22	12
27.72	100
32.11	35
46.05	43
54.60	39
57.24	9
61.07	4
67.16	6
74.13	13
76.40	11

a = 9.6563 Å, b = 9.6563 Å, c = 9.6563 Å
α = 109.47°, β = 109.47°, γ = 109.47°
Element x y z (fractional)
Nd 0.2500 0.5000 0.7500
Nd 0.2500 0.7500 0.5000
Nd 0.5000 0.2500 0.7500
Nd 0.5000 0.7500 0.2500
Nd 0.7500 0.2500 0.5000
Nd 0.7500 0.5000 0.2500
Sb 0.0000 0.0000 0.5059
Sb 0.0000 0.2815 0.2815
Sb 0.0000 0.5059 0.0000
Sb 0.0000 0.7185 0.7185
Sb 0.2815 0.0000 0.2815
Sb 0.2815 0.2815 0.0000
Sb 0.4941 0.4941 0.4941
Sb 0.5059 0.0000 0.0000
Sb 0.7185 0.0000 0.7185
Sb 0.7185 0.7185 0.0000
O 0.0000 0.1975 0.4725
O 0.0000 0.4725 0.1975
O 0.0000 0.5094 0.7075
O 0.0000 0.7075 0.5094
O 0.1975 0.0000 0.4725
O 0.1975 0.4725 0.0000
O 0.1981 0.4906 0.4906
O 0.2750 0.8025 0.8025
O 0.2925 0.2925 0.8019
O 0.2925 0.8019 0.2925
O 0.4725 0.0000 0.1975
O 0.4725 0.1975 0.0000
O 0.4906 0.1981 0.4906
O 0.4906 0.4906 0.1981
O 0.5094 0.0000 0.7075
O 0.5094 0.7075 0.0000
O 0.5275 0.5275 0.7250
O 0.5275 0.7250 0.5275
O 0.7075 0.0000 0.5094
O 0.7075 0.5094 0.0000
O 0.7250 0.5275 0.5275
O 0.8019 0.2925 0.2925
O 0.8025 0.2750 0.8025
O 0.8025 0.8025 0.2750